This entry pairs a crystal structure of MgFe4O8 with its theoretical powder XRD pattern. Radiation: Cu Kα (weighted mean of Kα1 and Kα2). Structure: a cell relaxed with GGA+U.

Atomic structure:
Cell lengths 5.175, 3.028, 9.263 Å; angles 90.00, 90.23, 90.00 degrees
Sites, in units of the cell vectors:
Mg 0.000 0.000 0.000
Fe 0.119 0.500 0.428
Fe 0.503 0.500 0.926
Fe 0.609 0.000 0.224
Fe 0.988 0.000 0.698
O 0.149 0.500 0.834
O 0.251 0.000 0.552
O 0.368 0.000 0.050
O 0.433 0.500 0.315
O 0.704 0.000 0.835
O 0.787 0.500 0.089
O 0.860 0.500 0.584
O 0.948 0.000 0.326

Principal peaks in the range 2θ = 15–90°, low angle first:
2theta, d/Å, I_rel
19.66, 4.517, 100.0
25.87, 3.444, 20.4
33.74, 2.656, 25.6
33.86, 2.647, 18.4
35.42, 2.534, 42.2
35.70, 2.515, 38.3
39.59, 2.277, 22.9
45.47, 1.995, 27.0
61.25, 1.513, 27.4
61.91, 1.499, 18.8